Calculated powder diffractogram of PtAuI for Cu Kα, 1.54184 Å, from DFT lattice parameters and positions (GGA-PBE).
Intensities are scaled so that the largest is 100.

The 10 most intense peaks (10 to 80 degrees two-theta), low angle first:
- 6.937 Å, 2θ 12.76, I 30, (0 0 2)
- 5.024 Å, 2θ 17.65, I 80, (1 0 2)
- 2.512 Å, 2θ 35.75, I 100, (2 0 4)
- 2.498 Å, 2θ 35.96, I 37, (0 1 3)
- 2.363 Å, 2θ 38.09, I 21, (1 1 3)
- 2.270 Å, 2θ 39.71, I 85, (2 1 1)
- 2.027 Å, 2θ 44.71, I 37, (0 1 5)
- 1.821 Å, 2θ 50.08, I 21, (4 0 0)
- 1.355 Å, 2θ 69.37, I 20, (4 1 5)
- 1.278 Å, 2θ 74.23, I 24, (2 2 4)

a b c (Å): 7.2856 2.9678 13.8734
angles (deg): 90.00 90.00 90.00
Space group Amm2 (No. 38)
One atom of each set of equivalent atoms:
Pt1 0.0000 0.0000 0.0000 [2 per cell]
Pt2 0.5000 0.0000 0.2117 [2 per cell]
Au1 0.2528 0.0000 0.6038 [4 per cell]
I1 0.2510 0.0000 0.8537 [4 per cell]


Calculated powder diffractogram of Nd2Tl3Sn3 for Cu Kα, 1.54184 Å, from DFT lattice parameters and positions (GGA-PBE).
Intensities are scaled so that the largest is 100.

The 10 most intense peaks (10 to 80 degrees two-theta), low angle first:
- 2.773 Å, 2θ 32.28, I 100, (1 1 2)
- 2.476 Å, 2θ 36.28, I 18, (0 0 4)
- 2.378 Å, 2θ 37.83, I 16, (0 2 0)
- 2.355 Å, 2θ 38.21, I 16, (2 0 0)
- 1.715 Å, 2θ 53.42, I 12, (0 2 4)
- 1.707 Å, 2θ 53.71, I 12, (2 0 4)
- 1.481 Å, 2θ 62.76, I 15, (1 1 6)
- 1.438 Å, 2θ 64.84, I 14, (1 3 2)
- 1.428 Å, 2θ 65.36, I 14, (3 1 2)
- 1.387 Å, 2θ 67.56, I 12, (2 2 4)

a b c (Å): 4.7103 4.7563 9.9053
angles (deg): 90.00 90.00 90.00
Space group Pmmm (No. 47)
One atom of each set of equivalent atoms:
Nd1 0.0000 0.0000 0.2400 [2 per cell]
Tl1 0.0000 0.5000 0.5000 [1 per cell]
Tl2 0.5000 0.5000 0.2501 [2 per cell]
Sn1 0.0000 0.5000 0.0000 [1 per cell]
Sn2 0.5000 0.0000 0.0000 [1 per cell]
Sn3 0.5000 0.0000 0.5000 [1 per cell]